# PaNi4B2
Simulated XRD peak list, CuKα. Input: DFT lattice parameters and positions (GGA-PBE).
Neutral-atom scattering factors, no anomalous dispersion.

Top 10 peaks for 2θ = 10–90°, low angle first:
2θ/deg, intensity
24.3, 19
25.7, 33
28.5, 29
33.2, 21
38.5, 13
41.6, 100
44.7, 18
49.9, 16
50.5, 15
80.3, 15

Structural model:
```
data_PaNi4B2
_symmetry_space_group_name_H-M 'C m m m'
_symmetry_Int_Tables_number 65
_symmetry_space_group_name_Hall '-C 2 2'
_cell_length_a 3.618
_cell_length_b 12.155
_cell_length_c 3.657
_cell_angle_alpha 90.00
_cell_angle_beta 90.00
_cell_angle_gamma 90.00
loop_
_atom_site_label
_atom_site_fract_x
_atom_site_fract_y
_atom_site_fract_z
_atom_site_occupancy
Pa1 0.000 0.000 0.000 1
Ni1 0.000 0.177 0.500 1
Ni2 0.000 0.327 0.000 1
B1 0.000 0.410 0.500 1
```